Entry 1:
Simulated powder XRD pattern
Compound: Ba4In2Te2S5
Radiation: Cu Ka
Structure: the GGA-PBE geometry in the Materials Project
Neutral-atom scattering factors, no anomalous dispersion.

Peak list (6 most intense, 10° ≤ 2θ ≤ 90°, in order of rising 2θ)
2θ = 23.37°, rel. 273
2θ = 26.32°, rel. 885
2θ = 28.37°, rel. 1000
2θ = 29.69°, rel. 547
2θ = 31.95°, rel. 627
2θ = 46.89°, rel. 719

Structural model:
Cell lengths 8.5103, 8.5103, 11.1800 Å; angles 90.00, 90.00, 90.00 degrees
Space group P4/mbm (No. 127)
Asymmetric unit:
Ba 0.0000 0.0000 0.2197 [4 per cell]
Ba 0.1600 0.3400 0.5000 [4 per cell]
In 0.0000 0.5000 0.1600 [4 per cell]
Te 0.1830 0.3170 0.0000 [4 per cell]
S 0.0000 0.0000 0.5000 [2 per cell]
S 0.1559 0.6559 0.3043 [8 per cell]



Entry 2:
Simulated powder XRD pattern
Compound: Ba2AlInO5
Radiation: Cu Ka
Structure: the GGA-PBE geometry in the Materials Project
Neutral-atom scattering factors, no anomalous dispersion.

Peak list (6 most intense, 10° ≤ 2θ ≤ 90°, in order of rising 2θ)
2θ = 28.29°, rel. 361
2θ = 30.13°, rel. 1000
2θ = 32.03°, rel. 459
2θ = 44.54°, rel. 229
2θ = 53.50°, rel. 362
2θ = 62.63°, rel. 284

Structural model:
Cell lengths 5.9329, 5.9329, 19.9825 Å; angles 90.00, 90.00, 120.00 degrees
Space group P6_3/mmc (No. 194)
Asymmetric unit:
Ba 0.0000 0.0000 0.0000 [2 per cell]
Ba 0.3333 0.6667 0.1059 [4 per cell]
Ba 0.3333 0.6667 0.7500 [2 per cell]
Al 0.0000 0.0000 0.1633 [4 per cell]
In 0.3333 0.6667 0.5668 [4 per cell]
O 0.0000 0.0000 0.2500 [2 per cell]
O 0.0000 0.5000 0.0000 [6 per cell]
O 0.1632 0.3264 0.6343 [12 per cell]